Structure and computed X-ray diffraction stick pattern of KTl5Pd2 (a cell relaxed with GGA-PBE; λ = 1.5418 Å (Cu Kα)).

Atomic structure:
```
data_KTl5Pd2
_chemical_formula_sum 'K4 Tl20 Pd8'
_symmetry_space_group_name_H-M 'I 4/m c m'
_symmetry_Int_Tables_number 140
_symmetry_space_group_name_Hall '-I 4 2c'
_cell_length_a 7.357
_cell_length_b 7.357
_cell_length_c 17.711
_cell_angle_alpha 90.00
_cell_angle_beta 90.00
_cell_angle_gamma 90.00
loop_
_atom_site_label
_atom_site_type_symbol
_atom_site_fract_x
_atom_site_fract_y
_atom_site_fract_z
K1 K 0.000 0.000 0.250
Tl1 Tl 0.000 0.000 0.000
Tl2 Tl 0.157 0.343 0.117
Pd1 Pd 0.138 0.362 0.500
```

Main lines, in order of rising 2θ (5 to 70 degrees two-theta):
| two_theta | I (rel.) |
| --- | --- |
| 9.99 | 100 |
| 26.43 | 32 |
| 27.57 | 32 |
| 31.12 | 78 |
| 31.62 | 35 |
| 37.30 | 83 |
| 38.70 | 49 |
| 40.76 | 24 |
| 57.04 | 18 |
| 57.46 | 29 |

Structure and computed X-ray diffraction stick pattern of KTl3Pd (a cell relaxed with GGA-PBE; λ = 1.5418 Å (Cu Kα)).

Atomic structure:
```
data_KTl3Pd
_chemical_formula_sum 'K2 Tl6 Pd2'
_symmetry_space_group_name_H-M 'P -1'
_symmetry_Int_Tables_number 2
_cell_length_a 6.489
_cell_length_b 6.807
_cell_length_c 7.349
_cell_angle_alpha 112.93
_cell_angle_beta 90.60
_cell_angle_gamma 90.48
loop_
_symmetry_equiv_pos_as_xyz
'x,y,z'
'-x,-y,-z'
loop_
_atom_site_label
_atom_site_type_symbol
_atom_site_fract_x
_atom_site_fract_y
_atom_site_fract_z
K1 K 0.023 0.327 0.203
Tl1 Tl 0.152 0.139 0.680
Tl2 Tl 0.472 0.736 0.529
Tl3 Tl 0.500 0.000 0.000
Tl4 Tl 0.500 0.500 0.000
Pd1 Pd 0.271 0.869 0.254
```

Main lines, in order of rising 2θ (5 to 70 degrees two-theta):
| two_theta | I (rel.) |
| --- | --- |
| 13.65 | 81 |
| 14.13 | 33 |
| 15.06 | 38 |
| 29.62 | 100 |
| 29.80 | 35 |
| 29.96 | 77 |
| 31.22 | 28 |
| 35.96 | 67 |
| 38.15 | 41 |
| 38.53 | 36 |